Structure and calculated X-ray diffraction stick pattern of MgSnP2O7 (a structure optimized by DFT (GGA-PBE); Cu Kα).
Intensities are scaled so that the largest is 100.

Structural model:
```
data_MgSnP2O7
_chemical_formula_sum 'Mg4 Sn4 P8 O28'
_symmetry_space_group_name_H-M 'P 1'
_symmetry_Int_Tables_number 1
_symmetry_space_group_name_Hall 'P 1'
_cell_length_a 7.0988
_cell_length_b 9.4004
_cell_length_c 9.4051
_cell_angle_alpha 90.00
_cell_angle_beta 109.81
_cell_angle_gamma 90.00
loop_
_atom_site_label
_atom_site_fract_x
_atom_site_fract_y
_atom_site_fract_z
Mg1 0.1921 0.0543 0.2970
Mg2 0.1921 0.4457 0.7970
Mg3 0.8079 0.5543 0.2030
Mg4 0.8079 0.9457 0.7030
Sn1 0.2936 0.1073 0.9470
Sn2 0.2936 0.3927 0.4470
Sn3 0.7064 0.6073 0.5530
Sn4 0.7064 0.8927 0.0530
P1 0.0130 0.7051 0.9566
P2 0.0130 0.7949 0.4566
P3 0.4034 0.7428 0.7218
P4 0.4034 0.7572 0.2218
P5 0.5966 0.2428 0.7782
P6 0.5966 0.2572 0.2782
P7 0.9870 0.2051 0.5434
P8 0.9870 0.2949 0.0434
O1 0.0074 0.5962 0.8354
O2 0.0074 0.9038 0.3354
O3 0.0159 0.1411 0.1002
O4 0.0159 0.3589 0.6002
O5 0.1458 0.1781 0.4645
O6 0.1458 0.3219 0.9645
O7 0.2266 0.6814 0.0860
O8 0.2266 0.8186 0.5860
O9 0.3582 0.5843 0.7225
O10 0.3582 0.9157 0.2225
O11 0.4055 0.2264 0.3194
O12 0.4055 0.2736 0.8194
O13 0.4179 0.6790 0.3667
O14 0.4179 0.8210 0.8667
O15 0.5821 0.1790 0.1333
O16 0.5821 0.3210 0.6333
O17 0.5945 0.7264 0.1806
O18 0.5945 0.7736 0.6806
O19 0.6418 0.0843 0.7775
O20 0.6418 0.4157 0.2775
O21 0.7734 0.1814 0.4140
O22 0.7734 0.3186 0.9140
O23 0.8542 0.6781 0.0355
O24 0.8542 0.8219 0.5355
O25 0.9841 0.6411 0.3998
O26 0.9841 0.8589 0.8998
O27 0.9926 0.0962 0.6646
O28 0.9926 0.4038 0.1646
```

Main lines, by intensity (10° ≤ 2θ ≤ 90°):
d/Å  2theta  I_rel  (hkl)
6.443  13.74  100  0 1 1
3.068  29.10  87  2 1 -2
3.226  27.66  80  1 0 2
2.836  31.55  65  1 3 0
2.350  38.30  60  2 2 -3
3.046  29.32  56  1 1 2
3.298  27.03  55  1 2 1
3.807  23.36  53  1 2 -1
5.445  16.28  40  1 1 0
2.958  30.21  39  1 1 -3


Structure and calculated X-ray diffraction stick pattern of MgSnP2O7 (a structure optimized by DFT (GGA-PBE); Cu Kα).
Intensities are scaled so that the largest is 100.

Structural model:
```
data_MgSnP2O7
_chemical_formula_sum 'Mg2 Sn2 P4 O14'
_symmetry_space_group_name_H-M 'P 1'
_symmetry_Int_Tables_number 1
_symmetry_space_group_name_Hall 'P 1'
_cell_length_a 6.6930
_cell_length_b 6.7201
_cell_length_c 7.0007
_cell_angle_alpha 81.97
_cell_angle_beta 87.16
_cell_angle_gamma 65.88
loop_
_atom_site_label
_atom_site_fract_x
_atom_site_fract_y
_atom_site_fract_z
Mg1 0.1705 0.3935 0.1814
Mg2 0.8295 0.6065 0.8186
Sn1 0.3863 0.7438 0.3455
Sn2 0.6137 0.2562 0.6545
P1 0.1654 0.1727 0.6320
P2 0.2668 0.7512 0.8829
P3 0.7332 0.2488 0.1171
P4 0.8346 0.8273 0.3680
O1 0.0591 0.6435 0.3419
O2 0.1256 0.6151 0.9159
O3 0.1404 0.9422 0.7069
O4 0.2298 0.1564 0.4184
O5 0.2670 0.8685 0.0547
O6 0.3373 0.1807 0.7623
O7 0.4998 0.3782 0.1893
O8 0.5002 0.6218 0.8107
O9 0.6627 0.8193 0.2377
O10 0.7330 0.1315 0.9453
O11 0.7702 0.8436 0.5816
O12 0.8596 0.0578 0.2931
O13 0.8744 0.3849 0.0841
O14 0.9409 0.3565 0.6581
```

Main lines, by intensity (10° ≤ 2θ ≤ 90°):
d/Å  2theta  I_rel  (hkl)
3.328  26.79  100  2 1 0
3.197  27.91  57  0 1 2
2.855  31.34  56  0 1 -2
4.301  20.65  50  0 1 -1
3.040  29.38  48  0 2 0
5.592  15.85  41  1 1 0
3.073  29.06  34  2 1 1
2.282  39.48  25  2 0 2
2.135  42.33  24  2 3 0
2.804  31.91  24  2 0 -1


Structure and calculated X-ray diffraction stick pattern of Sr2MgZn2Sn2P4O16 (a structure optimized by DFT (GGA-PBE); Cu Kα).
Intensities are scaled so that the largest is 100.

Structural model:
```
data_Sr2MgZn2Sn2P4O16
_chemical_formula_sum 'Sr2 Mg1 Zn2 Sn2 P4 O16'
_symmetry_space_group_name_H-M 'P 1'
_symmetry_Int_Tables_number 1
_symmetry_space_group_name_Hall 'P 1'
_cell_length_a 5.3310
_cell_length_b 8.1752
_cell_length_c 10.0710
_cell_angle_alpha 106.28
_cell_angle_beta 94.10
_cell_angle_gamma 90.25
loop_
_atom_site_label
_atom_site_fract_x
_atom_site_fract_y
_atom_site_fract_z
Sr1 0.0000 0.0000 0.0000
Sr2 0.4350 0.4342 0.9495
Mg1 0.4263 0.4022 0.5809
Zn1 0.0044 0.6828 0.6808
Zn2 0.5173 0.8652 0.2957
Sn1 0.8078 0.8763 0.5212
Sn2 0.9827 0.4354 0.2998
P1 0.4624 0.2121 0.2311
P2 0.5027 0.8063 0.7381
P3 0.9406 0.2837 0.7112
P4 0.9962 0.6956 0.1444
O1 0.0409 0.2495 0.8475
O2 0.1103 0.4332 0.6857
O3 0.1489 0.6709 0.0181
O4 0.1818 0.7133 0.2772
O5 0.2672 0.8416 0.8206
O6 0.2677 0.3045 0.1513
O7 0.3537 0.0293 0.2027
O8 0.4454 0.6498 0.6081
O9 0.4838 0.3084 0.3864
O10 0.5669 0.9646 0.6887
O11 0.6650 0.3470 0.7205
O12 0.7197 0.2152 0.1681
O13 0.7301 0.7646 0.8279
O14 0.8138 0.8443 0.1575
O15 0.8245 0.5319 0.1348
O16 0.9665 0.1311 0.5804
```

Main lines, by intensity (10° ≤ 2θ ≤ 90°):
d/Å  2theta  I_rel  (hkl)
3.124  28.57  100  -1 1 2
2.925  30.56  90  1 1 2
4.339  20.47  83  1 1 -1
3.440  25.90  63  1 -1 2
3.574  24.91  58  0 2 -2
3.922  22.67  56  0 2 0
2.128  42.48  52  2 0 -3
2.659  33.71  48  2 0 0
2.420  37.15  46  1 3 -1
3.902  22.79  42  -1 1 1


Structure and calculated X-ray diffraction stick pattern of Sr2MgZn2Sn2P4O16 (a structure optimized by DFT (GGA-PBE); Cu Kα).
Intensities are scaled so that the largest is 100.

Structural model:
```
data_Sr2MgZn2Sn2P4O16
_chemical_formula_sum 'Sr2 Mg1 Zn2 Sn2 P4 O16'
_symmetry_space_group_name_H-M 'P 1'
_symmetry_Int_Tables_number 1
_symmetry_space_group_name_Hall 'P 1'
_cell_length_a 5.5299
_cell_length_b 6.5417
_cell_length_c 12.4446
_cell_angle_alpha 102.28
_cell_angle_beta 96.55
_cell_angle_gamma 98.15
loop_
_atom_site_label
_atom_site_fract_x
_atom_site_fract_y
_atom_site_fract_z
Sr1 0.0000 0.0000 0.0000
Sr2 0.4936 0.4200 0.9201
Mg1 0.5800 0.7390 0.1991
Zn1 0.8307 0.7025 0.7175
Zn2 0.8976 0.9028 0.4376
Sn1 0.0355 0.3402 0.2986
Sn2 0.4500 0.1126 0.6164
P1 0.0855 0.6042 0.1304
P2 0.4182 0.8188 0.7801
P3 0.5037 0.2058 0.1752
P4 0.9845 0.2383 0.7396
O1 0.0002 0.3616 0.1150
O2 0.0100 0.2614 0.8660
O3 0.1607 0.7568 0.8134
O4 0.2078 0.6878 0.2542
O5 0.2306 0.3322 0.7063
O6 0.2588 0.1226 0.2145
O7 0.2937 0.6591 0.0615
O8 0.4577 0.7110 0.6609
O9 0.4591 0.1714 0.0474
O10 0.4640 0.0628 0.7869
O11 0.6085 0.4411 0.2359
O12 0.6258 0.7662 0.8617
O13 0.6961 0.0662 0.2105
O14 0.7786 0.3697 0.7012
O15 0.8536 0.6994 0.0958
O16 0.8934 0.0044 0.6709
```

Main lines, by intensity (10° ≤ 2θ ≤ 90°):
d/Å  2theta  I_rel  (hkl)
3.102  28.78  100  0 2 -2
3.533  25.21  65  -1 1 2
2.704  33.13  61  2 0 0
6.012  14.73  50  0 0 2
2.905  30.78  47  1 1 2
2.812  31.82  35  1 0 -4
2.550  35.19  34  1 -1 4
2.657  33.74  31  2 -1 0
4.682  18.96  30  1 0 1
3.013  29.65  29  1 0 3